Simulated X-ray diffraction stick pattern
Compound: SmDy5Y12
Radiation: Cu Kα
Structure: a cell relaxed with GGA-PBE
Kinematic intensities with the Lorentz-polarization factor, no thermal factor.

The 10 most intense peaks (5° ≤ 2θ ≤ 70°), in order of rising 2θ:
Position (°2θ)  I (rel.)
11.7  9
25.7  6
30.7  100
35.6  50
37.6  2
39.1  2
51.2  35
60.9  34
61.0  7
63.9  12

Crystal structure
a = 10.694 Å, b = 5.042 Å, c = 10.706 Å
α = 90.00°, β = 90.11°, γ = 90.00°
Fractional coordinates of all 18 atoms:
1 Sm 0.000 0.000 0.000
2 Dy 0.167 0.500 0.833
3 Dy 0.333 0.000 0.667
4 Dy 0.500 0.500 0.500
5 Dy 0.667 0.000 0.333
6 Dy 0.833 0.500 0.167
7 Y 0.001 0.000 0.667
8 Y 0.166 0.500 0.166
9 Y 0.168 0.500 0.501
10 Y 0.333 0.000 0.999
11 Y 0.334 0.000 0.334
12 Y 0.499 0.500 0.832
13 Y 0.501 0.500 0.168
14 Y 0.666 0.000 0.666
15 Y 0.667 0.000 0.001
16 Y 0.832 0.500 0.499
17 Y 0.834 0.500 0.834
18 Y 0.999 0.000 0.333

Simulated X-ray diffraction stick pattern
Compound: Co7Rh3
Radiation: Cu Kα
Structure: a cell relaxed with GGA-PBE
Kinematic intensities with the Lorentz-polarization factor, no thermal factor.

The 10 most intense peaks (5° ≤ 2θ ≤ 70°), in order of rising 2θ:
Position (°2θ)  I (rel.)
20.0  1
24.4  3
25.3  2
29.8  1
31.8  1
34.7  3
42.9  100
49.9  31
50.1  16
56.3  1

Crystal structure
a = 6.823 Å, b = 6.823 Å, c = 5.167 Å
α = 101.11°, β = 101.11°, γ = 31.10°
Fractional coordinates of all 10 atoms:
1 Co 0.000 0.000 0.000
2 Co 0.200 0.200 0.597
3 Co 0.400 0.400 0.697
4 Co 0.403 0.403 0.198
5 Co 0.597 0.597 0.802
6 Co 0.600 0.600 0.303
7 Co 0.800 0.800 0.403
8 Rh 0.000 0.000 0.500
9 Rh 0.197 0.197 0.105
10 Rh 0.803 0.803 0.895

Simulated X-ray diffraction stick pattern
Compound: LiMgBiAu
Radiation: Cu Kα
Structure: a cell relaxed with GGA-PBE
Kinematic intensities with the Lorentz-polarization factor, no thermal factor.

The 10 most intense peaks (5° ≤ 2θ ≤ 70°), in order of rising 2θ:
Position (°2θ)  I (rel.)
22.6  57
27.4  73
35.8  100
39.1  39
45.7  38
54.5  23
56.5  14
62.1  16
63.9  14
68.7  31

Crystal structure
a = 9.106 Å, b = 4.605 Å, c = 4.605 Å
α = 90.00°, β = 120.26°, γ = 90.00°
Fractional coordinates of all 8 atoms:
1 Li 0.000 0.000 0.000
2 Li 0.500 0.500 0.000
3 Mg 0.000 0.500 0.501
4 Mg 0.500 0.000 0.501
5 Bi 0.250 0.500 0.250
6 Bi 0.750 0.000 0.250
7 Au 0.250 0.000 0.750
8 Au 0.750 0.500 0.750

Simulated X-ray diffraction stick pattern
Compound: PuTlPdPb
Radiation: Cu Kα
Structure: a cell relaxed with GGA-PBE
Kinematic intensities with the Lorentz-polarization factor, no thermal factor.

The 10 most intense peaks (5° ≤ 2θ ≤ 70°), in order of rising 2θ:
Position (°2θ)  I (rel.)
21.0  4
24.3  4
34.7  100
40.9  2
42.8  1
49.8  18
54.7  1
56.2  2
62.1  38
66.4  1

Crystal structure
a = 7.320 Å, b = 7.320 Å, c = 7.320 Å
α = 90.00°, β = 90.00°, γ = 90.00°
Fractional coordinates of all 16 atoms:
1 Pu 0.000 0.000 0.000
2 Pu 0.000 0.500 0.500
3 Pu 0.500 0.000 0.500
4 Pu 0.500 0.500 0.000
5 Tl 0.250 0.250 0.250
6 Tl 0.250 0.750 0.750
7 Tl 0.750 0.250 0.750
8 Tl 0.750 0.750 0.250
9 Pd 0.250 0.250 0.750
10 Pd 0.250 0.750 0.250
11 Pd 0.750 0.250 0.250
12 Pd 0.750 0.750 0.750
13 Pb 0.000 0.000 0.500
14 Pb 0.000 0.500 0.000
15 Pb 0.500 0.000 0.000
16 Pb 0.500 0.500 0.500

Simulated X-ray diffraction stick pattern
Compound: ZrScCr2
Radiation: Cu Kα
Structure: a cell relaxed with GGA-PBE
Kinematic intensities with the Lorentz-polarization factor, no thermal factor.

The 10 most intense peaks (5° ≤ 2θ ≤ 70°), in order of rising 2θ:
Position (°2θ)  I (rel.)
11.5  36
29.8  6
32.0  25
34.9  18
38.0  100
42.6  54
46.5  28
56.2  17
61.8  16
68.4  11

Crystal structure
a = 3.003 Å, b = 3.003 Å, c = 7.707 Å
α = 90.00°, β = 90.00°, γ = 90.00°
Fractional coordinates of all 4 atoms:
1 Zr 0.000 0.000 0.000
2 Sc 0.500 0.500 0.643
3 Cr 0.000 0.000 0.400
4 Cr 0.500 0.500 0.249

Simulated X-ray diffraction stick pattern
Compound: Tm4SbIr2
Radiation: Cu Kα
Structure: a cell relaxed with GGA-PBE
Kinematic intensities with the Lorentz-polarization factor, no thermal factor.

The 10 most intense peaks (5° ≤ 2θ ≤ 70°), in order of rising 2θ:
Position (°2θ)  I (rel.)
13.5  62
19.7  21
28.0  87
29.7  88
37.1  100
37.7  25
40.0  44
46.1  43
47.6  62
58.8  21

Crystal structure
a = 7.970 Å, b = 7.970 Å, c = 7.970 Å
α = 111.13°, β = 111.00°, γ = 106.33°
Fractional coordinates of all 14 atoms:
1 Tm 0.225 0.291 0.566
2 Tm 0.225 0.660 0.934
3 Tm 0.291 0.225 0.066
4 Tm 0.340 0.775 0.566
5 Tm 0.660 0.225 0.434
6 Tm 0.709 0.775 0.934
7 Tm 0.775 0.340 0.066
8 Tm 0.775 0.709 0.434
9 Sb 0.124 0.874 0.250
10 Sb 0.876 0.126 0.750
11 Ir 0.000 0.500 0.500
12 Ir 0.500 0.000 0.000
13 Ir 0.500 0.500 0.000
14 Ir 0.500 0.500 0.500